This entry pairs a crystal structure of H24PtC8N2Cl6 with its computed XRD peak list. Radiation: copper Kα. Structure: a GGA-PBE-relaxed structure.
No peak broadening, texture or thermal motion is included.

a = 12.763 Å, b = 12.763 Å, c = 12.763 Å
α = 90.00°, β = 90.00°, γ = 90.00°
Space group Fm-3m (No. 225)
Asymmetric unit:
H 0.133 0.133 0.233 [96 per cell]
Pt 0.000 0.000 0.500 [4 per cell]
C 0.182 0.182 0.182 [32 per cell]
N 0.250 0.250 0.250 [8 per cell]
Cl 0.000 0.000 0.316 [24 per cell]

Top 10 peaks for 2θ = 10–90°, sorted by position:
| Position (°2θ) | I_rel |
| --- | --- |
| 12.01 | 100 |
| 13.88 | 21 |
| 19.67 | 38 |
| 23.11 | 35 |
| 27.96 | 16 |
| 31.34 | 16 |
| 36.58 | 24 |
| 41.87 | 22 |
| 51.11 | 16 |
| 55.29 | 10 |

---

This entry pairs a crystal structure of SmAgTePbSe2 with its computed XRD peak list. Radiation: copper Kα. Structure: a GGA-PBE-relaxed structure.
No peak broadening, texture or thermal motion is included.

a = 4.210 Å, b = 14.386 Å, c = 11.317 Å
α = 90.00°, β = 90.00°, γ = 90.00°
Space group Cmcm (No. 63)
Asymmetric unit:
Sm 0.000 0.000 0.000 [4 per cell]
Ag 0.000 0.473 0.250 [4 per cell]
Te 0.000 0.105 0.250 [4 per cell]
Pb 0.000 0.217 0.750 [4 per cell]
Se 0.000 0.362 0.062 [8 per cell]

Top 10 peaks for 2θ = 10–90°, sorted by position:
| Position (°2θ) | I_rel |
| --- | --- |
| 15.66 | 14 |
| 19.96 | 17 |
| 29.31 | 56 |
| 31.62 | 30 |
| 32.43 | 100 |
| 37.09 | 15 |
| 42.96 | 23 |
| 44.79 | 17 |
| 49.52 | 17 |
| 54.32 | 13 |

---

This entry pairs a crystal structure of CuC8 with its computed XRD peak list. Radiation: copper Kα. Structure: a GGA-PBE-relaxed structure.
No peak broadening, texture or thermal motion is included.

a = 4.9651 Å, b = 4.9651 Å, c = 4.1767 Å
α = 90.00°, β = 90.00°, γ = 120.00°
Space group P6/mmm (No. 191)
Asymmetric unit:
Cu 0.0000 0.0000 0.0000 [1 per cell]
C 0.1675 0.3350 0.5000 [6 per cell]
C 0.3333 0.6667 0.5000 [2 per cell]

Top 10 peaks for 2θ = 10–90°, sorted by position:
| Position (°2θ) | I_rel |
| --- | --- |
| 20.66 | 100 |
| 29.82 | 83 |
| 36.18 | 24 |
| 42.35 | 31 |
| 43.33 | 21 |
| 47.57 | 50 |
| 48.46 | 20 |
| 56.63 | 12 |
| 57.68 | 11 |
| 61.19 | 19 |

---

This entry pairs a crystal structure of HfAsAuO with its computed XRD peak list. Radiation: copper Kα. Structure: a GGA-PBE-relaxed structure.
No peak broadening, texture or thermal motion is included.

a = 3.957 Å, b = 6.122 Å, c = 7.079 Å
α = 90.00°, β = 90.00°, γ = 90.00°
Space group Pmc2_1 (No. 26)
Asymmetric unit:
Hf 0.000 0.054 0.000 [2 per cell]
As 0.500 0.305 0.868 [2 per cell]
Au 0.500 0.321 0.525 [2 per cell]
O 0.000 0.135 0.270 [2 per cell]

Top 10 peaks for 2θ = 10–90°, sorted by position:
| Position (°2θ) | I_rel |
| --- | --- |
| 19.17 | 23 |
| 25.16 | 74 |
| 26.83 | 92 |
| 29.70 | 72 |
| 31.85 | 41 |
| 37.12 | 100 |
| 45.38 | 35 |
| 45.87 | 28 |
| 47.24 | 44 |
| 51.69 | 23 |